The following is a calculated powder XRD pattern of LiFeF5. It was derived from a GGA+U-relaxed structure, using a wavelength of 1.5418 Å.
Peak positions follow from Bragg's law for the DFT cell and can differ from measured ones.

Main lines, in order of rising 2θ (15° ≤ 2θ ≤ 90°):
- hkl 0 0 2, d 4.860, I = 47
- hkl 0 2 0, d 4.824, I = 45
- hkl 1 1 1, d 3.439, I = 100
- hkl 0 2 2, d 3.424, I = 63
- hkl 0 2 4, d 2.170, I = 15
- hkl 0 4 2, d 2.160, I = 14
- hkl 2 0 0, d 1.989, I = 19
- hkl 1 3 3, d 1.980, I = 27
- hkl 2 0 2, d 1.840, I = 15
- hkl 0 4 4, d 1.712, I = 25

Crystal structure
```
data_LiFeF5
_symmetry_space_group_name_H-M 'P b c m'
_symmetry_Int_Tables_number 57
_cell_length_a 3.977
_cell_length_b 9.648
_cell_length_c 9.720
_cell_angle_alpha 90.00
_cell_angle_beta 90.00
_cell_angle_gamma 90.00
loop_
_symmetry_equiv_pos_as_xyz
'x,y,z'
'-x,-y,-z'
'-x,-y,z+1/2'
'x,y,-z+1/2'
'x,-y+1/2,-z'
'-x,y+1/2,z'
'-x,y+1/2,-z+1/2'
'x,-y+1/2,z+1/2'
loop_
_atom_site_label
_atom_site_fract_x
_atom_site_fract_y
_atom_site_fract_z
_atom_site_occupancy
Li1 0.012 0.250 0.000 1
Fe1 0.258 0.504 0.250 1
F1 0.240 0.005 0.250 1
F2 0.262 0.128 0.618 1
F3 0.262 0.637 0.118 1
```